Record 1
Pm2CdCu3: calculated powder XRD pattern (Cu Kα (weighted mean of Kα1 and Kα2)), based on a crystal structure in Alexandria, relaxed with PBE.
Peak positions follow from Bragg's law for the DFT cell and can differ from measured ones.

Structure:
```
12
Lattice="0.0000 4.5318 7.7069 3.6609 0.0000 7.7069 3.6609 4.5318 0.0000" Properties=species:S:1:pos:R:3 pbc="T T T"
Pm 5.5547 4.5318 7.7069
Pm 1.8304 2.2659 3.8534
Pm 5.4913 6.7977 11.5603
Pm 1.7671 4.5318 7.7069
Cd 3.6609 4.5318 5.1473
Cd 3.6609 4.5318 10.2664
Cu 3.6609 4.5318 2.4826
Cu 3.6609 2.1937 6.4566
Cu 3.6609 2.1937 8.9571
Cu 3.6609 6.8698 6.4566
Cu 3.6609 6.8698 8.9571
Cu 3.6609 4.5318 12.9311
```

Principal peaks in the range 2θ = 15–90°, in order of falling intensity:
- 33.55°, d = 2.671 Å, rel. 100
- 40.36°, d = 2.235 Å, rel. 55
- 33.77°, d = 2.654 Å, rel. 50
- 39.78°, d = 2.266 Å, rel. 29
- 53.15°, d = 1.723 Å, rel. 27
- 65.97°, d = 1.416 Å, rel. 24
- 49.82°, d = 1.830 Å, rel. 15
- 53.76°, d = 1.705 Å, rel. 12
- 65.56°, d = 1.424 Å, rel. 12
- 68.26°, d = 1.374 Å, rel. 12
- 69.32°, d = 1.356 Å, rel. 12
- 22.76°, d = 3.906 Å, rel. 12

Record 2
K5US5: calculated powder XRD pattern (Cu Kα (weighted mean of Kα1 and Kα2)), based on a crystal structure in Alexandria, relaxed with PBE.
Peak positions follow from Bragg's law for the DFT cell and can differ from measured ones.

Structure:
```
11
Lattice="7.2720 -2.9487 0.0000 7.2720 2.9487 0.0000 -2.7720 0.0000 8.1613" Properties=species:S:1:pos:R:3 pbc="T T T"
K 0.0000 0.0000 0.0000
K 3.9242 0.0000 1.5236
K 2.8991 0.0000 5.2763
K 8.8729 0.0000 2.8850
K 7.8478 0.0000 6.6377
U -1.3860 0.0000 4.0806
S 0.9127 0.0000 2.8718
S -0.1728 0.0000 6.4181
S 5.8860 0.0000 4.0806
S 11.9448 0.0000 1.7432
S 10.8592 0.0000 5.2895
```

Principal peaks in the range 2θ = 15–90°, in order of falling intensity:
- 16.35°, d = 5.421 Å, rel. 100
- 28.80°, d = 3.100 Å, rel. 62
- 30.31°, d = 2.949 Å, rel. 61
- 28.02°, d = 3.184 Å, rel. 58
- 24.58°, d = 3.622 Å, rel. 49
- 42.30°, d = 2.137 Å, rel. 41
- 41.75°, d = 2.163 Å, rel. 37
- 25.61°, d = 3.479 Å, rel. 36
- 36.29°, d = 2.475 Å, rel. 35
- 39.28°, d = 2.294 Å, rel. 30
- 37.13°, d = 2.421 Å, rel. 29
- 18.47°, d = 4.805 Å, rel. 25

Record 3
LiCa2SmTe4: calculated powder XRD pattern (Cu Kα (weighted mean of Kα1 and Kα2)), based on a crystal structure in Alexandria, relaxed with PBE.
Peak positions follow from Bragg's law for the DFT cell and can differ from measured ones.

Structure:
```
8
Lattice="7.6903 0.0000 0.0000 0.0000 4.4841 0.0000 -2.5028 0.0000 7.2917" Properties=species:S:1:pos:R:3 pbc="T T T"
Li 0.0000 0.0000 0.0000
Ca -1.2514 2.2420 3.6459
Ca 2.5938 0.0000 3.6459
Sm 3.8452 2.2420 0.0000
Te 1.2870 2.2420 1.7724
Te 0.0059 0.0000 5.5258
Te 5.1817 0.0000 1.7659
Te 3.9005 2.2420 5.5193
```

Principal peaks in the range 2θ = 15–90°, in order of falling intensity:
- 28.17°, d = 3.167 Å, rel. 100
- 40.50°, d = 2.227 Å, rel. 74
- 28.49°, d = 3.133 Å, rel. 48
- 40.27°, d = 2.240 Å, rel. 38
- 24.43°, d = 3.644 Å, rel. 34
- 50.03°, d = 1.823 Å, rel. 30
- 73.31°, d = 1.291 Å, rel. 18
- 66.03°, d = 1.415 Å, rel. 17
- 58.26°, d = 1.584 Å, rel. 12
- 50.17°, d = 1.818 Å, rel. 10
- 19.82°, d = 4.479 Å, rel. 9
- 73.77°, d = 1.284 Å, rel. 9